Record 1
Structure and simulated PXRD pattern of Tb8Hg3Sb2 (the PBE geometry in Alexandria; λ = 1.5418 Å (Cu Kα)).
Neutral-atom scattering factors, no anomalous dispersion.

Top 6 peaks for 2θ from 10° to 90°, in order of falling intensity:
two_theta, Rel. int., hkl
28.10, 100, 2 2 -1
30.85, 94, 2 0 2
35.46, 82, 1 3 1
35.24, 74, 4 2 1
31.87, 74, 5 1 0
35.10, 62, 4 2 -1

Atomic structure:
a b c (Å): 14.8874 8.4387 6.3098
angles (deg): 90.00 90.31 90.00
Space group C2/m (No. 12)
Symmetry-distinct sites (fractional):
Tb1 0.0912 0.0000 0.3538 x4
Tb2 0.1199 0.2070 0.8529 x8
Tb3 0.1829 0.5000 0.4056 x4
Hg1 0.0000 0.3228 0.5000 x4
Hg2 0.0000 0.5000 0.0000 x2
Sb1 0.2365 0.5000 0.9199 x4


Record 2
Structure and simulated PXRD pattern of TcHgSb2 (the PBE geometry in Alexandria; λ = 1.5418 Å (Cu Kα)).
Neutral-atom scattering factors, no anomalous dispersion.

Top 6 peaks for 2θ from 10° to 90°, in order of falling intensity:
two_theta, Rel. int., hkl
37.35, 100, 1 1 2
28.57, 69, 0 1 3
33.53, 27, 1 0 3
43.40, 25, 0 2 0
42.39, 24, 1 0 5
38.45, 22, 0 1 5

Atomic structure:
a b c (Å): 3.2434 4.1704 14.1478
angles (deg): 90.00 90.00 90.00
Space group Imm2 (No. 44)
Symmetry-distinct sites (fractional):
Tc1 0.0000 0.0000 0.0000 x2
Hg1 0.0000 0.5000 0.7199 x2
Sb1 0.0000 0.0000 0.5525 x2
Sb2 0.0000 0.5000 0.3494 x2